1.
Diffraction record for Pm2Tm8Zr. The powder X-ray diffraction pattern is calculated, not measured: it uses a GGA-PBE-relaxed structure and Cu Kα X-rays.
Kinematic intensities with the Lorentz-polarization factor, no thermal factor.

Largest 10 diffraction maxima, in order of rising 2θ, 2θ = 15–90°:
31.4°, intensity 100, (5 1 -1); 36.3°, intensity 17, (6 0 1); 36.5°, intensity 34, (0 2 0); 52.4°, intensity 12, (10 0 -2); 52.5°, intensity 12, (6 2 1); 52.6°, intensity 12, (4 2 -3); 62.3°, intensity 13, (11 1 0); 62.5°, intensity 14, (9 1 -4); 62.6°, intensity 14, (5 3 -1); 65.6°, intensity 12, (10 2 -2)

Structural model:
abc: 17.802 4.915 7.796
angles: 90.00 105.02 90.00
Space group C2/m (No. 12)
Inequivalent atoms, fractional coordinates:
Pm (0.227, 0.000, 0.135) (multiplicity 4)
Tm (0.044, 0.000, 0.237) (multiplicity 4)
Tm (0.088, 0.500, 0.942) (multiplicity 4)
Tm (0.130, 0.000, 0.672) (multiplicity 4)
Tm (0.178, 0.500, 0.409) (multiplicity 4)
Zr (0.000, 0.500, 0.500) (multiplicity 2)


2.
Diffraction record for Ba2Mg3CdF12. The powder X-ray diffraction pattern is calculated, not measured: it uses a GGA-PBE-relaxed structure and Cu Kα X-rays.
Kinematic intensities with the Lorentz-polarization factor, no thermal factor.

Largest 10 diffraction maxima, in order of rising 2θ, 2θ = 15–90°:
17.5°, intensity 30, (0 1 2); 24.5°, intensity 80, (1 1 0); 28.9°, intensity 28, (0 2 1); 29.1°, intensity 100, (1 1 3); 29.7°, intensity 61, (0 1 5); 38.9°, intensity 62, (2 0 5); 39.3°, intensity 25, (1 2 2); 46.1°, intensity 32, (0 3 3); 46.5°, intensity 35, (1 2 5); 50.3°, intensity 51, (2 2 0)

Structural model:
abc: 7.2621 7.2621 17.1415
angles: 90.00 90.00 120.00
Space group R-3m (No. 166, hexagonal axes)
Inequivalent atoms, fractional coordinates:
Ba (0.0000, 0.0000, 0.1127) (multiplicity 6)
Mg (0.0000, 0.5000, 0.0000) (multiplicity 9)
Cd (0.0000, 0.0000, 0.5000) (multiplicity 3)
F (0.0276, 0.5138, 0.8810) (multiplicity 18)
F (0.0631, 0.5316, 0.3157) (multiplicity 18)


3.
Diffraction record for Pu2Tc2Ge2C. The powder X-ray diffraction pattern is calculated, not measured: it uses a GGA-PBE-relaxed structure and Cu Kα X-rays.
Kinematic intensities with the Lorentz-polarization factor, no thermal factor.

Largest 10 diffraction maxima, in order of rising 2θ, 2θ = 15–90°:
24.7°, intensity 27, (1 1 0); 31.5°, intensity 22, (2 0 1); 32.2°, intensity 22, (1 1 1); 33.2°, intensity 100, (3 1 -1); 34.9°, intensity 86, (1 1 -2); 37.6°, intensity 28, (3 1 0); 40.0°, intensity 28, (4 0 -3); 46.1°, intensity 27, (0 2 0); 47.4°, intensity 18, (3 1 1); 63.5°, intensity 17, (7 1 -3)

Structural model:
abc: 11.113 3.940 7.120
angles: 90.00 125.75 90.00
Space group C2/m (No. 12)
Inequivalent atoms, fractional coordinates:
Pu (0.065, 0.000, 0.287) (multiplicity 4)
Tc (0.199, 0.500, 0.077) (multiplicity 4)
Ge (0.145, 0.500, 0.674) (multiplicity 4)
C (0.000, 0.500, 0.000) (multiplicity 2)